[1]
Theoretical X-ray diffraction stick pattern of Tb11In9Ni4 for a wavelength of 1.5418 Å, from a structure optimized by DFT (GGA-PBE).
Peak positions follow from Bragg's law for the DFT cell and can differ from measured ones.

Structural model:
a b c (Å): 14.721 21.375 3.637
angles (deg): 90.00 90.00 90.00
Space group Cmmm (No. 65)
Unique sites:
Tb (0.000, 0.000, 0.000)
Tb (0.000, 0.159, 0.000)
Tb (0.000, 0.375, 0.000)
Tb (0.186, 0.500, 0.000)
Tb (0.249, 0.171, 0.000)
In (0.000, 0.500, 0.500)
In (0.103, 0.264, 0.500)
In (0.149, 0.071, 0.500)
Ni (0.151, 0.399, 0.500)

The 10 most intense peaks (10° ≤ 2θ ≤ 90°), low angle first:
30.89 deg, rel. 23, (3 1 1); 32.90 deg, rel. 22, (1 5 1); 34.67 deg, rel. 100, (4 0 1); 35.06 deg, rel. 72, (4 6 0); 35.26 deg, rel. 91, (0 6 1); 35.73 deg, rel. 24, (2 8 0); 37.61 deg, rel. 26, (6 2 0); 50.16 deg, rel. 29, (0 0 2); 56.89 deg, rel. 26, (6 8 1); 62.67 deg, rel. 28, (4 6 2)


[2]
Theoretical X-ray diffraction stick pattern of TbIn2Ni9 for a wavelength of 1.5418 Å, from a structure optimized by DFT (GGA-PBE).
Peak positions follow from Bragg's law for the DFT cell and can differ from measured ones.

Structural model:
a b c (Å): 8.208 8.208 4.791
angles (deg): 90.00 90.00 90.00
Space group P4/mbm (No. 127)
Unique sites:
Tb (0.000, 0.000, 0.000)
In (0.125, 0.375, 0.000)
Ni (0.000, 0.500, 0.500)
Ni (0.064, 0.206, 0.500)
Ni (0.176, 0.676, 0.248)

The 10 most intense peaks (10° ≤ 2θ ≤ 90°), low angle first:
34.56 deg, rel. 25, (3 1 0); 36.19 deg, rel. 23, (2 2 1); 37.55 deg, rel. 17, (0 0 2); 39.49 deg, rel. 100, (3 1 1); 43.76 deg, rel. 28, (2 0 2); 44.04 deg, rel. 36, (3 2 1); 45.20 deg, rel. 66, (2 1 2); 45.57 deg, rel. 29, (4 1 0); 49.64 deg, rel. 22, (4 2 0); 69.05 deg, rel. 18, (3 1 3)


[3]
Theoretical X-ray diffraction stick pattern of Ti2InNi2 for a wavelength of 1.5418 Å, from a structure optimized by DFT (GGA-PBE).
Peak positions follow from Bragg's law for the DFT cell and can differ from measured ones.

Structural model:
a b c (Å): 6.946 6.946 6.239
angles (deg): 90.00 90.00 90.00
Space group P4_2/mnm (No. 136)
Unique sites:
Ti (0.151, 0.151, 0.000)
Ti (0.176, 0.176, 0.500)
In (0.000, 0.500, 0.250)
Ni (0.127, 0.873, 0.280)

The 10 most intense peaks (10° ≤ 2θ ≤ 90°), low angle first:
25.65 deg, rel. 8, (2 0 0); 28.62 deg, rel. 13, (0 0 2); 34.05 deg, rel. 11, (1 1 2); 36.59 deg, rel. 13, (2 2 0); 38.80 deg, rel. 29, (2 0 2); 41.05 deg, rel. 100, (3 1 0); 47.13 deg, rel. 11, (2 2 2); 50.84 deg, rel. 18, (3 1 2); 74.63 deg, rel. 14, (3 1 4); 76.27 deg, rel. 11, (5 1 2)